1.
Diffraction record for Th4AuC3. The powder diffractogram is calculated, not measured: it uses a GGA-PBE-relaxed structure and λ = 1.5418 Å (Cu Kα).

Main lines, sorted by position (2θ = 10–90°):
(hkl)	d (Å)	intensity
1 0 1	3.257	32
1 0 2	3.190	29
1 0 4	2.957	37
1 0 5	2.813	83
0 0 10	2.734	29
1 0 6	2.662	100
1 1 0	1.894	53
1 0 12	1.871	19
1 1 10	1.557	33
2 0 6	1.543	20

Structure:
abc: 3.7878 3.7878 27.3390
angles: 90.00 90.00 120.00
Space group P6_3/mmc (No. 194)
Inequivalent atoms, fractional coordinates:
Th (0.0000, 0.0000, 0.1658) x4
Th (0.3333, 0.6667, 0.0549) x4
Au (0.3333, 0.6667, 0.2500) x2
C (0.0000, 0.0000, 0.0000) x2
C (0.3333, 0.6667, 0.6181) x4

***

2.
Diffraction record for Th6AuC4. The powder diffractogram is calculated, not measured: it uses a GGA-PBE-relaxed structure and λ = 1.5418 Å (Cu Kα).

Main lines, sorted by position (2θ = 10–90°):
(hkl)	d (Å)	intensity
1 1 3	3.196	15
0 4 2	3.006	17
0 2 6	2.945	100
1 3 1	2.792	21
1 3 2	2.714	47
0 6 4	1.937	13
2 0 0	1.902	14
1 5 5	1.860	14
1 3 10	1.632	13
2 2 6	1.598	16

Structure:
abc: 3.8043 12.6048 20.0029
angles: 90.00 90.00 90.00
Space group Cmcm (No. 63)
Inequivalent atoms, fractional coordinates:
Th (0.0000, 0.0000, 0.0000) x4
Th (0.0000, 0.1465, 0.2500) x4
Th (0.0000, 0.2764, 0.5783) x8
Th (0.0000, 0.4565, 0.1500) x8
Au (0.0000, 0.1662, 0.7500) x4
C (0.0000, 0.0840, 0.1247) x8
C (0.0000, 0.3580, 0.0390) x8

***

3.
Diffraction record for YAuC. The powder diffractogram is calculated, not measured: it uses a GGA-PBE-relaxed structure and λ = 1.5418 Å (Cu Kα).

Main lines, sorted by position (2θ = 10–90°):
(hkl)	d (Å)	intensity
1 1 0	3.208	65
1 1 -1	3.183	39
1 1 -2	2.841	48
2 0 1	2.825	47
2 0 -3	2.698	58
1 1 2	2.460	90
1 1 -3	2.406	100
2 0 2	2.347	41
3 1 -1	1.948	58
0 2 0	1.838	56

Structure:
abc: 6.9126 3.6763 9.6693
angles: 90.00 108.18 90.00
Space group Cm (No. 8)
Inequivalent atoms, fractional coordinates:
Y (0.0000, 0.0000, 0.0000) x2
Y (0.0491, 0.0000, 0.3722) x2
Au (0.2333, 0.0000, 0.7812) x2
Au (0.3239, 0.5000, 0.5861) x2
C (0.1440, 0.5000, 0.2200) x2
C (0.2583, 0.5000, 0.1334) x2

***

4.
Diffraction record for Zr6Au2C. The powder diffractogram is calculated, not measured: it uses a GGA-PBE-relaxed structure and λ = 1.5418 Å (Cu Kα).

Main lines, sorted by position (2θ = 10–90°):
(hkl)	d (Å)	intensity
0 1 1	6.826	16
0 3 1	3.881	15
1 0 0	3.333	18
0 1 3	2.598	25
1 0 2	2.554	56
1 3 1	2.529	100
1 2 2	2.385	39
0 3 3	2.275	28
1 5 1	2.015	16
2 0 0	1.666	14

Structure:
abc: 3.3329 13.3421 7.9450
angles: 90.00 90.00 90.00
Space group Amm2 (No. 38)
Inequivalent atoms, fractional coordinates:
Zr (0.0000, 0.0000, 0.0000) x2
Zr (0.0000, 0.1088, 0.6466) x4
Zr (0.5000, 0.0000, 0.3465) x2
Zr (0.5000, 0.1946, 0.9501) x4
Au (0.0000, 0.1700, 0.2564) x4
C (0.5000, 0.0000, 0.7998) x2